Starting from a crystal structure in the Materials Project, relaxed with PBE, the powder diffractogram of PrAsSe was calculated for Cu Kα, 1.54184 Å.
Kinematic intensities with the Lorentz-polarization factor, no thermal factor.

The 10 most intense peaks (2θ = 10–90°), by intensity:
d (Å)	2θ/deg	I_rel	hkl
2.421	37.14	100.0	1 1 2
2.721	32.91	77.9	1 1 1
2.437	36.88	74.8	1 0 3
2.015	45.00	58.1	2 0 0
3.690	24.12	47.7	1 0 1
3.061	29.18	44.1	0 0 3
1.553	59.53	36.8	2 1 3
2.849	31.40	36.7	1 1 0
1.683	54.53	29.9	2 0 3
1.228	77.79	22.9	3 1 2

Atomic structure:
Cell: 4.0293 4.0293 9.1822 Å, 90.00 90.00 90.00°
Space group P4/nmm (No. 129, origin choice 2)
Asymmetric unit:
1 Pr 0.2500 0.2500 0.2231 x2
2 As 0.2500 0.7500 0.5000 x2
3 Se 0.2500 0.2500 0.8754 x2